The following is a theoretical powder XRD pattern of K2RbZrFe. It was derived from a cell relaxed with GGA-PBE, using a wavelength of 1.5418 Å.

Main lines, sorted by position (10 to 80 degrees two-theta):
Position (°2θ), Rel. int.
12.38, 23
17.54, 53
23.79, 31
24.90, 100
26.90, 29
34.70, 23
35.50, 38
45.07, 22
48.68, 30
55.44, 20

Cell and atoms:
Cell: 7.152 7.152 4.389 Å, 90.00 90.00 90.00°
Element x y z (fractional)
K: 0.000 0.500 0.000
K: 0.500 0.000 0.000
Rb: 0.000 0.000 0.500
Zr: 0.500 0.500 0.000
Fe: 0.500 0.500 0.500

***

The following is a theoretical powder XRD pattern of K2TiFeRe. It was derived from a cell relaxed with GGA-PBE, using a wavelength of 1.5418 Å.

Main lines, sorted by position (10 to 80 degrees two-theta):
Position (°2θ), Rel. int.
13.82, 100
19.57, 86
23.98, 72
27.84, 93
31.21, 29
37.07, 47
39.78, 35
44.70, 25
49.11, 37
57.39, 23

Cell and atoms:
Cell: 6.409 6.409 4.551 Å, 90.00 90.00 90.00°
Element x y z (fractional)
K: 0.000 0.500 0.000
K: 0.500 0.000 0.000
Ti: 0.000 0.000 0.500
Fe: 0.500 0.500 0.500
Re: 0.000 0.000 0.000

***

The following is a theoretical powder XRD pattern of KFe2Rh. It was derived from a cell relaxed with GGA-PBE, using a wavelength of 1.5418 Å.

Main lines, sorted by position (10 to 80 degrees two-theta):
Position (°2θ), Rel. int.
11.82, 100
23.78, 14
33.77, 31
39.84, 49
40.13, 9
41.63, 9
41.81, 9
43.51, 14
48.37, 16
54.78, 12

Cell and atoms:
Cell: 2.829 3.766 7.485 Å, 90.00 90.51 90.00°
Element x y z (fractional)
K: 0.000 0.000 0.000
Fe: 0.497 0.500 0.349
Fe: 0.503 0.500 0.651
Rh: 0.000 0.000 0.500

***

The following is a theoretical powder XRD pattern of K2FeRh. It was derived from a cell relaxed with GGA-PBE, using a wavelength of 1.5418 Å.

Main lines, sorted by position (10 to 80 degrees two-theta):
Position (°2θ), Rel. int.
17.87, 32
24.13, 35
26.95, 70
30.18, 31
36.19, 36
37.33, 80
40.63, 100
45.68, 18
56.35, 23
59.63, 32

Cell and atoms:
Cell: 10.236 10.236 3.754 Å, 100.51 100.51 18.62°
Element x y z (fractional)
K: 0.145 0.145 0.146
K: 0.855 0.855 0.854
Fe: 0.000 0.000 0.500
Rh: 0.500 0.500 0.000

***

The following is a theoretical powder XRD pattern of K3FeS4. It was derived from a cell relaxed with GGA-PBE, using a wavelength of 1.5418 Å.

Main lines, sorted by position (10 to 80 degrees two-theta):
Position (°2θ), Rel. int.
13.63, 43
14.44, 29
25.52, 100
26.89, 31
27.45, 25
29.11, 30
31.78, 40
35.10, 26
37.46, 45
37.86, 29

Cell and atoms:
Cell: 7.809 7.809 7.809 Å, 141.46 67.37 127.06°
Element x y z (fractional)
K: 0.000 0.000 0.000
K: 0.095 0.806 0.289
K: 0.517 0.806 0.711
Fe: 0.679 0.179 0.500
S: 0.440 0.232 0.792
S: 0.440 0.647 0.208
S: 0.715 0.355 0.360
S: 0.996 0.355 0.640

***

The following is a theoretical powder XRD pattern of K7Fe5S10. It was derived from a cell relaxed with GGA-PBE, using a wavelength of 1.5418 Å.

Main lines, sorted by position (10 to 80 degrees two-theta):
Position (°2θ), Rel. int.
14.35, 100
15.35, 43
24.41, 23
26.18, 40
26.93, 19
27.13, 36
30.21, 40
30.83, 26
36.89, 22
42.58, 20

Cell and atoms:
Cell: 14.974 14.974 7.306 Å, 102.49 102.49 45.35°
Element x y z (fractional)
K: 0.104 0.896 0.750
K: 0.118 0.174 0.511
K: 0.174 0.118 0.011
K: 0.174 0.391 0.458
K: 0.332 0.521 0.564
K: 0.391 0.174 0.958
K: 0.479 0.668 0.936
K: 0.521 0.332 0.064
K: 0.609 0.826 0.042
K: 0.668 0.479 0.436
K: 0.826 0.609 0.542
K: 0.826 0.882 0.989
K: 0.882 0.826 0.489
K: 0.896 0.104 0.250
Fe: 0.074 0.527 0.992
Fe: 0.165 0.634 0.062
Fe: 0.235 0.765 0.250
Fe: 0.366 0.835 0.438
Fe: 0.473 0.926 0.508
Fe: 0.527 0.074 0.492
Fe: 0.634 0.165 0.562
Fe: 0.765 0.235 0.750
Fe: 0.835 0.366 0.938
Fe: 0.926 0.473 0.008
S: 0.061 0.632 0.790
S: 0.065 0.802 0.288
S: 0.088 0.371 0.831
S: 0.198 0.935 0.212
S: 0.253 0.453 0.172
S: 0.301 0.633 0.986
S: 0.367 0.699 0.514
S: 0.368 0.939 0.710
S: 0.371 0.088 0.331
S: 0.453 0.253 0.672
S: 0.547 0.747 0.328
S: 0.629 0.912 0.669
S: 0.632 0.061 0.290
S: 0.633 0.301 0.486
S: 0.699 0.367 0.014
S: 0.747 0.547 0.828
S: 0.802 0.065 0.788
S: 0.912 0.629 0.169
S: 0.935 0.198 0.712
S: 0.939 0.368 0.210

***

The following is a theoretical powder XRD pattern of K4FeS4. It was derived from a cell relaxed with GGA-PBE, using a wavelength of 1.5418 Å.

Main lines, sorted by position (10 to 80 degrees two-theta):
Position (°2θ), Rel. int.
13.97, 52
16.72, 61
26.03, 75
28.16, 100
28.91, 64
34.46, 38
35.29, 66
39.48, 57
40.25, 73
45.75, 26

Cell and atoms:
Cell: 8.962 8.962 6.580 Å, 90.00 90.00 90.00°
Element x y z (fractional)
K: 0.023 0.250 0.089
K: 0.250 0.023 0.589
K: 0.250 0.477 0.589
K: 0.477 0.250 0.089
K: 0.523 0.750 0.911
K: 0.750 0.523 0.411
K: 0.750 0.977 0.411
K: 0.977 0.750 0.911
Fe: 0.250 0.750 0.250
Fe: 0.750 0.250 0.750
S: 0.037 0.750 0.419
S: 0.250 0.537 0.081
S: 0.250 0.963 0.081
S: 0.463 0.750 0.419
S: 0.537 0.250 0.581
S: 0.750 0.037 0.919
S: 0.750 0.463 0.919
S: 0.963 0.250 0.581

***

The following is a theoretical powder XRD pattern of K2Fe5Se5. It was derived from a cell relaxed with GGA-PBE, using a wavelength of 1.5418 Å.

Main lines, sorted by position (10 to 80 degrees two-theta):
Position (°2θ), Rel. int.
11.55, 100
24.77, 22
29.83, 89
36.31, 22
41.84, 60
48.33, 12
49.29, 32
49.93, 39
58.69, 23
70.85, 13

Cell and atoms:
Cell: 9.635 9.635 9.635 Å, 129.19 129.19 74.71°
Element x y z (fractional)
K: 0.125 0.692 0.817
K: 0.308 0.125 0.432
K: 0.692 0.875 0.568
K: 0.875 0.308 0.183
Fe: 0.050 0.349 0.901
Fe: 0.149 0.050 0.700
Fe: 0.250 0.750 0.500
Fe: 0.349 0.449 0.300
Fe: 0.449 0.149 0.099
Fe: 0.551 0.851 0.901
Fe: 0.651 0.551 0.700
Fe: 0.750 0.250 0.500
Fe: 0.851 0.950 0.300
Fe: 0.950 0.651 0.099
Se: 0.057 0.259 0.602
Se: 0.140 0.140 0.000
Se: 0.259 0.657 0.201
Se: 0.343 0.545 0.602
Se: 0.455 0.057 0.799
Se: 0.545 0.943 0.201
Se: 0.657 0.455 0.398
Se: 0.741 0.343 0.799
Se: 0.860 0.860 0.000
Se: 0.943 0.741 0.398

***

The following is a theoretical powder XRD pattern of K2FeSe4. It was derived from a cell relaxed with GGA-PBE, using a wavelength of 1.5418 Å.

Main lines, sorted by position (10 to 80 degrees two-theta):
Position (°2θ), Rel. int.
10.82, 62
13.70, 27
21.29, 100
26.25, 30
27.61, 52
27.93, 62
32.18, 53
39.68, 73
43.66, 27
52.44, 30

Cell and atoms:
Cell: 8.934 8.934 8.934 Å, 107.59 87.34 138.10°
Element x y z (fractional)
K: 0.131 0.190 0.321
K: 0.369 0.690 0.059
K: 0.631 0.310 0.941
K: 0.869 0.810 0.679
Fe: 0.250 0.750 0.500
Fe: 0.750 0.250 0.500
Se: 0.100 0.611 0.711
Se: 0.128 0.838 0.966
Se: 0.372 0.338 0.710
Se: 0.400 0.111 0.511
Se: 0.600 0.889 0.489
Se: 0.628 0.662 0.290
Se: 0.872 0.162 0.034
Se: 0.900 0.389 0.289

***

The following is a theoretical powder XRD pattern of K3Fe8Se8. It was derived from a cell relaxed with GGA-PBE, using a wavelength of 1.5418 Å.

Main lines, sorted by position (10 to 80 degrees two-theta):
Position (°2θ), Rel. int.
11.53, 100
29.78, 41
29.94, 41
36.38, 20
41.88, 58
47.39, 11
49.20, 15
49.62, 14
49.94, 37
58.67, 11

Cell and atoms:
Cell: 7.408 8.103 8.229 Å, 95.71 116.74 103.19°
Element x y z (fractional)
K: 0.000 0.000 0.000
K: 0.266 0.000 0.532
K: 0.734 0.000 0.468
Fe: 0.062 0.500 0.875
Fe: 0.188 0.501 0.626
Fe: 0.313 0.500 0.375
Fe: 0.438 0.502 0.125
Fe: 0.562 0.498 0.875
Fe: 0.687 0.500 0.625
Fe: 0.812 0.499 0.374
Fe: 0.938 0.500 0.125
Se: 0.016 0.714 0.679
Se: 0.231 0.286 0.822
Se: 0.266 0.714 0.178
Se: 0.480 0.286 0.321
Se: 0.520 0.714 0.679
Se: 0.734 0.286 0.822
Se: 0.769 0.714 0.178
Se: 0.984 0.286 0.321

***

The following is a theoretical powder XRD pattern of KFeTc2. It was derived from a cell relaxed with GGA-PBE, using a wavelength of 1.5418 Å.

Main lines, sorted by position (10 to 80 degrees two-theta):
Position (°2θ), Rel. int.
27.70, 28
33.61, 13
38.57, 100
44.09, 47
48.27, 39
56.56, 15
59.04, 14
69.68, 12
70.65, 12
78.03, 13

Cell and atoms:
Cell: 2.667 2.667 9.661 Å, 90.00 90.00 90.00°
Element x y z (fractional)
K: 0.000 0.000 0.000
Fe: 0.000 0.000 0.500
Tc: 0.500 0.500 0.311
Tc: 0.500 0.500 0.689

***

The following is a theoretical powder XRD pattern of K3U3FeTe8. It was derived from a cell relaxed with GGA-PBE, using a wavelength of 1.5418 Å.

Main lines, sorted by position (10 to 80 degrees two-theta):
Position (°2θ), Rel. int.
10.45, 80
23.77, 12
27.44, 100
34.24, 29
36.96, 34
41.32, 36
42.74, 21
46.05, 18
50.31, 18
67.07, 15

Cell and atoms:
Cell: 9.855 9.855 9.855 Å, 52.65 52.65 52.65°
Element x y z (fractional)
K: 0.000 0.500 0.500
K: 0.500 0.000 0.500
K: 0.500 0.500 0.000
U: 0.000 0.000 0.500
U: 0.000 0.500 0.000
U: 0.500 0.000 0.000
Fe: 0.500 0.500 0.500
Te: 0.238 0.238 0.238
Te: 0.249 0.723 0.723
Te: 0.277 0.277 0.751
Te: 0.277 0.751 0.277
Te: 0.723 0.249 0.723
Te: 0.723 0.723 0.249
Te: 0.751 0.277 0.277
Te: 0.762 0.762 0.762

***

The following is a theoretical powder XRD pattern of KZr4Fe. It was derived from a cell relaxed with GGA-PBE, using a wavelength of 1.5418 Å.

Main lines, sorted by position (10 to 80 degrees two-theta):
Position (°2θ), Rel. int.
18.21, 37
29.94, 12
35.27, 100
36.89, 62
42.86, 16
46.92, 9
56.67, 32
62.22, 30
73.59, 10
74.58, 22

Cell and atoms:
Cell: 5.968 5.968 5.968 Å, 60.00 60.00 60.00°
Element x y z (fractional)
K: 0.000 0.000 0.000
Zr: 0.133 0.622 0.622
Zr: 0.622 0.133 0.622
Zr: 0.622 0.622 0.133
Zr: 0.622 0.622 0.622
Fe: 0.250 0.250 0.250